# 1
The following is a calculated powder XRD pattern of DyCo4Sn4Ge2. It was derived from a structure optimized by DFT (PBE), using copper Kα.
Kinematic intensities with the Lorentz-polarization factor, no thermal factor.

Crystal structure
Unit cell a=6.579 b=6.579 c=6.579 alpha=121.94 beta=121.94 gamma=86.68
Atoms (fractional coordinates):
Dy 0.000 0.000 0.000
Co 0.252 0.252 0.639
Co 0.388 0.748 0.000
Co 0.612 0.612 0.361
Co 0.748 0.388 0.000
Sn 0.116 0.470 0.000
Sn 0.470 0.116 0.000
Sn 0.530 0.530 0.646
Sn 0.884 0.884 0.354
Ge 0.000 0.500 0.500
Ge 0.500 0.000 0.500

Largest 6 diffraction maxima, in order of falling intensity, 2θ from 5° to 70°:
| 2theta | intensity |
| --- | --- |
| 32.7 | 100.0 |
| 33.7 | 72.5 |
| 42.5 | 62.1 |
| 42.8 | 53.7 |
| 43.6 | 43.0 |
| 39.9 | 38.1 |


# 2
The following is a calculated powder XRD pattern of Dy4TlCo2Ge4. It was derived from a structure optimized by DFT (PBE), using copper Kα.
Kinematic intensities with the Lorentz-polarization factor, no thermal factor.

Crystal structure
Unit cell a=8.045 b=8.045 c=7.078 alpha=107.40 beta=107.40 gamma=30.44
Atoms (fractional coordinates):
Dy 0.091 0.091 0.389
Dy 0.155 0.155 0.940
Dy 0.845 0.845 0.060
Dy 0.909 0.909 0.611
Tl 0.500 0.500 0.000
Co 0.280 0.280 0.373
Co 0.720 0.720 0.627
Ge 0.292 0.292 0.728
Ge 0.431 0.431 0.344
Ge 0.569 0.569 0.656
Ge 0.708 0.708 0.272

Largest 6 diffraction maxima, in order of falling intensity, 2θ from 5° to 70°:
| 2theta | intensity |
| --- | --- |
| 34.5 | 100.0 |
| 33.3 | 83.8 |
| 42.8 | 69.6 |
| 36.1 | 48.5 |
| 34.7 | 36.5 |
| 37.2 | 35.4 |


# 3
The following is a calculated powder XRD pattern of DyYCo2Ge4. It was derived from a structure optimized by DFT (PBE), using copper Kα.
Kinematic intensities with the Lorentz-polarization factor, no thermal factor.

Crystal structure
Unit cell a=4.154 b=4.137 c=16.559 alpha=90.00 beta=90.00 gamma=90.00
Atoms (fractional coordinates):
Dy 0.000 0.000 0.000
Dy 0.000 0.500 0.500
Y 0.500 0.000 0.218
Y 0.500 0.500 0.718
Co 0.000 0.000 0.790
Co 0.000 0.500 0.290
Co 0.500 0.000 0.428
Co 0.500 0.500 0.928
Ge 0.000 0.000 0.360
Ge 0.000 0.000 0.654
Ge 0.000 0.500 0.154
Ge 0.000 0.500 0.860
Ge 0.500 0.000 0.564
Ge 0.500 0.000 0.858
Ge 0.500 0.500 0.064
Ge 0.500 0.500 0.358

Largest 6 diffraction maxima, in order of falling intensity, 2θ from 5° to 70°:
| 2theta | intensity |
| --- | --- |
| 34.7 | 100.0 |
| 39.2 | 22.6 |
| 43.8 | 22.3 |
| 43.6 | 21.8 |
| 31.0 | 14.4 |
| 63.5 | 14.3 |